Theoretical XRD peak list of YIrAu for Cu Ka, from a structure optimized by DFT (GGA-PBE).

Cell and atoms:
```
data_YIrAu
_space_group_name_H-M_alt 'P 1'
_space_group_IT_number 1
_space_group_name_Hall 'P 1'
_cell_length_a 5.776
_cell_length_b 5.776
_cell_length_c 4.899
_cell_angle_alpha 114.99
_cell_angle_beta 114.99
_cell_angle_gamma 57.45
loop_
_atom_site_label
_atom_site_fract_x
_atom_site_fract_y
_atom_site_fract_z
Y1 0.129 0.129 0.379
Y2 0.871 0.871 0.621
Ir1 0.444 0.444 0.694
Ir2 0.556 0.556 0.306
Au1 0.000 0.500 0.000
Au2 0.500 0.000 0.000
```

The 10 most intense peaks (10 to 80 degrees two-theta), by intensity:
2θ/deg  Rel. int.
35.4  100
38.6  97
36.7  59
38.2  52
54.0  39
18.9  34
65.2  28
78.6  20
67.4  19
47.9  19